# Gd3Mg3TlZnCd
Computed X-ray diffraction stick pattern, a wavelength of 1.5418 Å. Input: a cell relaxed with PBE.
Lines closer than 0.1° are merged.

The 10 most intense peaks (5 to 70 degrees two-theta), most intense first:
| 2θ (°) | d/Å | I (rel.) |
| --- | --- | --- |
| 33.8 | 2.652 | 100.0 |
| 30.8 | 2.907 | 65.4 |
| 38.9 | 2.315 | 25.2 |
| 23.8 | 3.735 | 24.4 |
| 66.1 | 1.413 | 22.9 |
| 13.7 | 6.469 | 22.6 |
| 27.6 | 3.235 | 21.9 |
| 41.8 | 2.162 | 21.2 |
| 36.8 | 2.445 | 20.8 |
| 54.9 | 1.673 | 20.3 |

Crystal structure
a b c (Å): 7.4703 7.4703 4.6304
angles (deg): 90.00 90.00 120.00
Space group P-6 (No. 174)
Symmetry-distinct sites (fractional):
1 Gd 0.0095 0.4300 0.0000 x3
2 Mg 0.0126 0.7625 0.5000 x3
3 Tl 0.6667 0.3333 0.5000 x1
4 Zn 0.3333 0.6667 0.5000 x1
5 Cd 0.0000 0.0000 0.0000 x1

---

# Y2HoAl
Computed X-ray diffraction stick pattern, a wavelength of 1.5418 Å. Input: a cell relaxed with PBE.
Lines closer than 0.1° are merged.

The 10 most intense peaks (5 to 70 degrees two-theta), most intense first:
| 2θ (°) | d/Å | I (rel.) |
| --- | --- | --- |
| 32.6 | 2.750 | 100.0 |
| 32.9 | 2.718 | 41.4 |
| 35.9 | 2.500 | 25.3 |
| 34.1 | 2.631 | 23.9 |
| 22.3 | 3.982 | 22.3 |
| 24.6 | 3.625 | 18.3 |
| 50.3 | 1.812 | 15.6 |
| 62.5 | 1.487 | 15.0 |
| 49.5 | 1.840 | 12.5 |
| 64.0 | 1.455 | 11.6 |

Crystal structure
a b c (Å): 5.000 10.525 8.440
angles (deg): 90.00 90.00 90.00
Space group Ama2 (No. 40)
Symmetry-distinct sites (fractional):
1 Y 0.250 0.111 0.000 x4
2 Y 0.250 0.381 0.798 x4
3 Ho 0.250 0.111 0.594 x4
4 Al 0.250 0.324 0.296 x4